Record 1
The following is a computed powder diffractogram of La13Tm2. It was derived from a DFT-relaxed cell (PBE, Alexandria), using Cu Kα X-rays.

Structure:
a b c (Å): 6.8666 9.2879 9.2984
angles (deg): 66.70 82.54 82.08
Positions (direct):
La 0.0000 0.0000 0.0000
La 0.0986 0.4380 0.7693
La 0.1898 0.1881 0.2159
La 0.2985 0.6264 0.9743
La 0.3065 0.9613 0.6410
La 0.3944 0.3957 0.4100
La 0.4975 0.1698 0.8366
La 0.5025 0.8302 0.1634
La 0.6056 0.6043 0.5900
La 0.6935 0.0387 0.3590
La 0.7015 0.3736 0.0257
La 0.8102 0.8119 0.7841
La 0.9014 0.5620 0.2307
Tm 0.1013 0.7658 0.4294
Tm 0.8987 0.2342 0.5706

Largest 10 diffraction maxima, low angle first, 10 to 80 degrees two-theta:
Position (°2θ), d_spacing, I (rel.)
30.26, 2.954, 240
30.46, 2.935, 1000
30.55, 2.926, 106
43.49, 2.081, 117
53.83, 1.703, 66
53.90, 1.701, 103
54.15, 1.694, 82
54.30, 1.689, 89
60.36, 1.534, 133
60.53, 1.530, 71


Record 2
The following is a computed powder diffractogram of Mn20Si12C. It was derived from a DFT-relaxed cell (PBE, Alexandria), using Cu Kα X-rays.

Structure:
a b c (Å): 4.8056 11.9387 6.8749
angles (deg): 90.00 90.03 90.00
Positions (direct):
Mn 0.0000 0.1647 0.0000
Mn 0.0000 0.3316 0.5000
Mn 0.0000 0.6684 0.5000
Mn 0.0000 0.8353 0.0000
Mn 0.2403 0.1187 0.3809
Mn 0.2403 0.8813 0.3809
Mn 0.2422 0.0000 0.7378
Mn 0.2483 0.5000 0.2422
Mn 0.2487 0.3775 0.8776
Mn 0.2487 0.6225 0.8776
Mn 0.5000 0.1673 0.0000
Mn 0.5000 0.3344 0.5000
Mn 0.5000 0.6656 0.5000
Mn 0.5000 0.8327 0.0000
Mn 0.7513 0.3775 0.1224
Mn 0.7513 0.6225 0.1224
Mn 0.7517 0.5000 0.7578
Mn 0.7578 0.0000 0.2622
Mn 0.7597 0.1187 0.6191
Mn 0.7597 0.8813 0.6191
Si 0.2497 0.5000 0.6018
Si 0.2512 0.2999 0.1997
Si 0.2512 0.7001 0.1997
Si 0.2617 0.0000 0.0969
Si 0.2616 0.2006 0.7006
Si 0.2616 0.7994 0.7006
Si 0.7383 0.0000 0.9031
Si 0.7384 0.2006 0.2994
Si 0.7384 0.7994 0.2994
Si 0.7488 0.2999 0.8003
Si 0.7488 0.7001 0.8003
Si 0.7503 0.5000 0.3982
C 0.0000 0.0000 0.5000

Largest 10 diffraction maxima, low angle first, 10 to 80 degrees two-theta:
Position (°2θ), d_spacing, I (rel.)
29.98, 2.981, 123
31.98, 2.798, 110
37.43, 2.403, 111
40.01, 2.253, 421
40.48, 2.229, 267
44.40, 2.040, 1000
45.65, 1.987, 370
46.07, 1.970, 749
66.86, 1.399, 140
72.38, 1.306, 207


Record 3
The following is a computed powder diffractogram of CaAl10Pd3. It was derived from a DFT-relaxed cell (PBE, Alexandria), using Cu Kα X-rays.

Structure:
a b c (Å): 9.0720 9.0720 9.0720
angles (deg): 60.00 60.00 60.00
Positions (direct):
Ca 0.2500 0.2500 0.2500
Ca 0.7500 0.7500 0.7500
Al 0.0000 0.0000 0.3478
Al 0.0000 0.0000 0.6522
Al 0.0000 0.3478 0.0000
Al 0.0000 0.3478 0.6522
Al 0.0000 0.6522 0.0000
Al 0.0000 0.6522 0.3478
Al 0.1662 0.6112 0.6112
Al 0.3478 0.0000 0.0000
Al 0.3478 0.0000 0.6522
Al 0.3478 0.6522 0.0000
Al 0.3888 0.3888 0.3888
Al 0.3888 0.3888 0.8338
Al 0.3888 0.8338 0.3888
Al 0.6112 0.1662 0.6112
Al 0.6112 0.6112 0.1662
Al 0.6112 0.6112 0.6112
Al 0.6522 0.0000 0.0000
Al 0.6522 0.0000 0.3478
Al 0.6522 0.3478 0.0000
Al 0.8338 0.3888 0.3888
Pd 0.2638 0.2638 0.7362
Pd 0.2638 0.7362 0.2638
Pd 0.2638 0.7362 0.7362
Pd 0.7362 0.2638 0.2638
Pd 0.7362 0.2638 0.7362
Pd 0.7362 0.7362 0.2638

Largest 10 diffraction maxima, low angle first, 10 to 80 degrees two-theta:
Position (°2θ), d_spacing, I (rel.)
13.80, 6.415, 169
19.57, 4.536, 285
24.03, 3.704, 1000
27.81, 3.207, 417
36.39, 2.469, 250
39.74, 2.268, 726
41.65, 2.169, 174
46.98, 1.934, 779
63.18, 1.472, 237
72.14, 1.309, 259


Record 4
The following is a computed powder diffractogram of Pm2Pr2YHo. It was derived from a DFT-relaxed cell (PBE, Alexandria), using Cu Kα X-rays.

Structure:
a b c (Å): 7.1273 5.7359 9.9520
angles (deg): 90.00 90.00 90.00
Positions (direct):
Pm 0.2500 0.0000 0.1631
Pm 0.2500 0.5000 0.6684
Pm 0.7500 0.0000 0.8369
Pm 0.7500 0.5000 0.3316
Pr 0.0000 0.5000 0.0000
Pr 0.2500 0.0000 0.8239
Pr 0.5000 0.5000 0.0000
Pr 0.7500 0.0000 0.1761
Y 0.0000 0.0000 0.5000
Y 0.5000 0.0000 0.5000
Ho 0.2500 0.5000 0.3406
Ho 0.7500 0.5000 0.6594

Largest 10 diffraction maxima, low angle first, 10 to 80 degrees two-theta:
Position (°2θ), d_spacing, I (rel.)
24.99, 3.564, 113
30.87, 2.896, 844
31.16, 2.870, 1000
40.35, 2.235, 191
44.43, 2.039, 307
55.26, 1.662, 320
55.44, 1.657, 193
61.23, 1.514, 289
64.98, 1.435, 118
78.88, 1.213, 137